Theoretical PXRD pattern of RbCSO3F3 for Cu Ka, from a structure optimized by DFT (GGA-PBE).
Peak positions follow from Bragg's law for the DFT cell and can differ from measured ones.

Structure:
Cell lengths 5.2746, 5.8642, 10.4724 Å; angles 90.00, 102.82, 90.00 degrees
Space group P2_1 (No. 4)
One atom of each set of equivalent atoms:
Rb (0.0048, 0.0000, 0.3577) x2
C (0.3726, 0.5840, 0.1470) x2
S (0.4299, 0.4817, 0.3203) x2
O (0.1733, 0.5033, 0.3512) x2
O (0.3749, 0.1404, 0.6093) x2
O (0.4828, 0.7467, 0.6869) x2
F (0.1982, 0.4505, 0.0659) x2
F (0.2775, 0.8015, 0.1379) x2
F (0.4030, 0.0851, 0.8959) x2

Peak list (10 most intense, 5° ≤ 2θ ≤ 70°, by angle)
8.66°, rel. 79
20.99°, rel. 41
23.08°, rel. 54
23.20°, rel. 100
25.97°, rel. 71
26.18°, rel. 48
26.49°, rel. 61
30.49°, rel. 38
35.18°, rel. 59
38.92°, rel. 36



Theoretical PXRD pattern of RbSrCO3F for Cu Ka, from a structure optimized by DFT (GGA-PBE).
Peak positions follow from Bragg's law for the DFT cell and can differ from measured ones.

Structure:
Cell lengths 5.3703, 5.3703, 4.8455 Å; angles 90.00, 90.00, 120.00 degrees
Space group P-6m2 (No. 187)
One atom of each set of equivalent atoms:
Rb (0.0000, 0.0000, 0.0000) x1
Sr (0.3333, 0.6667, 0.5000) x1
C (0.6667, 0.3333, 0.5000) x1
O (0.3866, 0.1933, 0.5000) x3
F (0.3333, 0.6667, 0.0000) x1

Peak list (10 most intense, 5° ≤ 2θ ≤ 70°, by angle)
19.08°, rel. 28
26.57°, rel. 100
33.37°, rel. 60
37.11°, rel. 26
38.72°, rel. 16
43.15°, rel. 46
50.76°, rel. 35
54.71°, rel. 11
55.62°, rel. 20
59.64°, rel. 10